Calculated XRD peak list
Compound: Cs2AcMoO6
Radiation: Cu Kα (λ = 1.5418 Å)
Structure: the PBE+U geometry in Alexandria

Most intense lines, 2θ from 10° to 80°, in order of rising 2θ:
- 14.87 deg, I = 65, hkl 1 0 0
- 20.44 deg, I = 63, hkl 1 0 1
- 25.91 deg, I = 100, hkl 1 1 0
- 31.94 deg, I = 34, hkl 0 1 2
- 33.23 deg, I = 32, hkl 0 2 1
- 38.59 deg, I = 42, hkl 1 1 2
- 41.57 deg, I = 27, hkl 2 0 2
- 42.61 deg, I = 22, hkl 2 1 1
- 45.70 deg, I = 20, hkl 3 0 0
- 49.64 deg, I = 25, hkl 1 2 2

Atomic structure:
```
Cs2AcMoO6
1.0
6.8777 0.0000 0.0000
-3.4388 5.9562 0.0000
0.0000 0.0000 6.3514
Cs Ac Mo O
2 1 1 6
Direct
0.3333 0.6667 0.0919
0.6667 0.3333 0.9081
0.0000 0.0000 0.5000
0.0000 0.0000 0.0000
0.1292 0.2584 0.8096
0.1292 0.8708 0.8096
0.2584 0.1292 0.1904
0.7416 0.8708 0.8096
0.8708 0.1292 0.1904
0.8708 0.7416 0.1904
```